1.
Calculated powder diffraction line list of PuSi2Pt2 for Cu Kα, 1.54184 Å, from a crystal structure in the Materials Project, relaxed with GGA-PBE.

The 10 most intense peaks (2θ = 10–90°), low angle first:
d/Å  I/Imax
2.845  54
2.590  77
2.545  100
2.101  64
1.786  26
1.632  39
1.486  22
1.438  23
1.361  21
1.283  24

Cell and atoms:
Cell lengths 4.202, 4.202, 9.864 Å; angles 90.00, 90.00, 90.00 degrees
Space group P4/nmm (No. 129, origin choice 2)
Inequivalent atoms, fractional coordinates:
Pu 0.250 0.250 0.245 (multiplicity 2)
Si 0.250 0.250 0.635 (multiplicity 2)
Si 0.250 0.750 0.000 (multiplicity 2)
Pt 0.250 0.250 0.876 (multiplicity 2)
Pt 0.250 0.750 0.500 (multiplicity 2)



2.
Calculated powder diffraction line list of Rb3Pt for Cu Kα, 1.54184 Å, from a crystal structure in the Materials Project, relaxed with GGA-PBE.

The 10 most intense peaks (2θ = 10–90°), low angle first:
d/Å  I/Imax
5.499  14
3.888  13
3.175  100
2.749  51
1.944  37
1.658  44
1.587  13
1.262  18
1.230  17
1.122  13

Cell and atoms:
Cell lengths 5.499, 5.499, 5.499 Å; angles 90.00, 90.00, 90.00 degrees
Space group Pm-3m (No. 221)
Inequivalent atoms, fractional coordinates:
Rb 0.000 0.000 0.500 (multiplicity 3)
Pt 0.500 0.500 0.500 (multiplicity 1)



3.
Calculated powder diffraction line list of RbPt2Se3 for Cu Kα, 1.54184 Å, from a crystal structure in the Materials Project, relaxed with GGA-PBE.

The 10 most intense peaks (2θ = 10–90°), low angle first:
d/Å  I/Imax
6.890  100
3.231  41
2.764  71
2.565  15
2.192  28
2.028  13
1.889  32
1.822  20
1.630  23
1.560  13

Cell and atoms:
Cell lengths 7.5556, 7.5556, 20.6700 Å; angles 90.00, 90.00, 120.00 degrees
Space group R-3m (No. 166, hexagonal axes)
Inequivalent atoms, fractional coordinates:
Rb 0.0000 0.0000 0.1995 (multiplicity 6)
Pt 0.0000 0.0000 0.0000 (multiplicity 3)
Pt 0.0000 0.5000 0.0000 (multiplicity 9)
Se 0.0088 0.5044 0.2740 (multiplicity 18)



4.
Calculated powder diffraction line list of Rb2PtSe2 for Cu Kα, 1.54184 Å, from a crystal structure in the Materials Project, relaxed with GGA-PBE.

The 10 most intense peaks (2θ = 10–90°), low angle first:
d/Å  I/Imax
6.171  80
5.169  41
3.145  75
2.865  71
2.631  100
2.585  25
1.972  54
1.924  32
1.646  51
1.642  22

Cell and atoms:
Cell lengths 3.850, 7.691, 10.338 Å; angles 90.00, 90.00, 90.00 degrees
Space group Immm (No. 71)
Inequivalent atoms, fractional coordinates:
Rb 0.000 0.000 0.198 (multiplicity 4)
Pt 0.000 0.500 0.000 (multiplicity 2)
Se 0.000 0.211 0.500 (multiplicity 4)



5.
Calculated powder diffraction line list of Rb2U6Pt4Se17 for Cu Kα, 1.54184 Å, from a crystal structure in the Materials Project, relaxed with GGA-PBE.

The 10 most intense peaks (2θ = 10–90°), low angle first:
d/Å  I/Imax
8.398  20
7.538  56
6.818  33
4.196  31
3.438  17
2.709  100
2.528  16
2.384  22
2.234  20
2.120  25

Cell and atoms:
Cell lengths 10.660, 10.660, 13.636 Å; angles 90.00, 90.00, 90.00 degrees
Space group P4/mnc (No. 128)
Inequivalent atoms, fractional coordinates:
Rb 0.000 0.000 0.236 (multiplicity 4)
U 0.000 0.500 0.250 (multiplicity 4)
U 0.121 0.245 0.500 (multiplicity 8)
Pt 0.069 0.638 0.000 (multiplicity 8)
Se 0.000 0.000 0.500 (multiplicity 2)
Se 0.074 0.285 0.132 (multiplicity 16)
Se 0.091 0.725 0.367 (multiplicity 16)



6.
Calculated powder diffraction line list of RbSi4Pt4 for Cu Kα, 1.54184 Å, from a crystal structure in the Materials Project, relaxed with GGA-PBE.

The 10 most intense peaks (2θ = 10–90°), low angle first:
d/Å  I/Imax
6.041  13
4.272  29
2.947  100
2.702  39
2.316  18
2.036  18
2.014  18
1.891  52
1.520  22
1.238  18

Cell and atoms:
Cell lengths 8.544, 8.544, 4.632 Å; angles 90.00, 90.00, 90.00 degrees
Space group I4 (No. 79)
Inequivalent atoms, fractional coordinates:
Rb 0.000 0.000 0.000 (multiplicity 2)
Si 0.113 0.386 0.299 (multiplicity 8)
Pt 0.172 0.674 0.299 (multiplicity 8)



7.
Calculated powder diffraction line list of Re3Pt for Cu Kα, 1.54184 Å, from a crystal structure in the Materials Project, relaxed with GGA-PBE.

The 10 most intense peaks (2θ = 10–90°), low angle first:
d/Å  I/Imax
2.415  24
2.251  26
2.128  100
1.646  15
1.394  17
1.275  19
1.207  3
1.185  21
1.166  15
1.125  3

Cell and atoms:
Cell lengths 2.7881, 2.7881, 9.0039 Å; angles 90.00, 90.00, 120.00 degrees
Space group P-6m2 (No. 187)
Inequivalent atoms, fractional coordinates:
Re 0.0000 0.0000 0.0000 (multiplicity 1)
Re 0.6667 0.3333 0.2459 (multiplicity 2)
Pt 0.0000 0.0000 0.5000 (multiplicity 1)



8.
Calculated powder diffraction line list of Re3Pt for Cu Kα, 1.54184 Å, from a crystal structure in the Materials Project, relaxed with GGA-PBE.

The 10 most intense peaks (2θ = 10–90°), low angle first:
d/Å  I/Imax
2.423  24
2.219  25
2.126  100
1.636  15
1.399  17
1.262  19
1.211  3
1.183  20
1.169  14
1.109  3

Cell and atoms:
Cell lengths 5.5946, 5.5946, 4.4371 Å; angles 90.00, 90.00, 120.00 degrees
Space group P6_3/mmc (No. 194)
Inequivalent atoms, fractional coordinates:
Re 0.1593 0.3186 0.2500 (multiplicity 6)
Pt 0.3333 0.6667 0.7500 (multiplicity 2)



9.
Calculated powder diffraction line list of Re2PtRh for Cu Kα, 1.54184 Å, from a crystal structure in the Materials Project, relaxed with GGA-PBE.

The 10 most intense peaks (2θ = 10–90°), low angle first:
d/Å  I/Imax
3.607  4
3.124  1
2.209  100
1.884  2
1.562  17
1.433  1
1.397  1
1.275  35
1.202  1
1.104  12

Cell and atoms:
Cell lengths 6.247, 6.247, 6.247 Å; angles 90.00, 90.00, 90.00 degrees
Space group Fm-3m (No. 225)
Inequivalent atoms, fractional coordinates:
Re 0.250 0.250 0.250 (multiplicity 8)
Pt 0.000 0.000 0.000 (multiplicity 4)
Rh 0.000 0.000 0.500 (multiplicity 4)



10.
Calculated powder diffraction line list of Sc2PtRh for Cu Kα, 1.54184 Å, from a crystal structure in the Materials Project, relaxed with GGA-PBE.

The 10 most intense peaks (2θ = 10–90°), low angle first:
d/Å  I/Imax
3.778  11
3.271  37
2.313  100
1.973  6
1.889  11
1.636  17
1.463  15
1.336  34
1.157  11
1.090  8

Cell and atoms:
Cell lengths 6.543, 6.543, 6.543 Å; angles 90.00, 90.00, 90.00 degrees
Space group Fm-3m (No. 225)
Inequivalent atoms, fractional coordinates:
Sc 0.250 0.250 0.250 (multiplicity 8)
Pt 0.000 0.000 0.000 (multiplicity 4)
Rh 0.000 0.000 0.500 (multiplicity 4)



11.
Calculated powder diffraction line list of Pt3Rh2Se10 for Cu Kα, 1.54184 Å, from a crystal structure in the Materials Project, relaxed with GGA-PBE.

The 10 most intense peaks (2θ = 10–90°), low angle first:
d/Å  I/Imax
5.106  43
2.751  100
2.011  52
1.885  38
1.768  15
1.555  18
1.509  16
1.375  15
1.199  15
1.111  16

Cell and atoms:
Cell lengths 3.7698, 3.7698, 25.5293 Å; angles 90.00, 90.00, 120.00 degrees
Space group P-3m1 (No. 164)
Inequivalent atoms, fractional coordinates:
Pt 0.0000 0.0000 0.0000 (multiplicity 1)
Pt 0.0000 0.0000 0.2002 (multiplicity 2)
Rh 0.0000 0.0000 0.3995 (multiplicity 2)
Se 0.3333 0.6667 0.0508 (multiplicity 2)
Se 0.3333 0.6667 0.2514 (multiplicity 2)
Se 0.3333 0.6667 0.4496 (multiplicity 2)
Se 0.3333 0.6667 0.6490 (multiplicity 2)
Se 0.3333 0.6667 0.8506 (multiplicity 2)



12.
Calculated powder diffraction line list of Tm2PtRh for Cu Kα, 1.54184 Å, from a crystal structure in the Materials Project, relaxed with GGA-PBE.

The 9 most intense peaks (2θ = 10–90°), low angle first:
d/Å  I/Imax
3.946  4
2.416  100
2.061  2
1.709  18
1.568  1
1.395  36
1.315  1
1.208  11
1.155  1

Cell and atoms:
Cell lengths 6.835, 6.835, 6.835 Å; angles 90.00, 90.00, 90.00 degrees
Space group Fm-3m (No. 225)
Inequivalent atoms, fractional coordinates:
Tm 0.250 0.250 0.250 (multiplicity 8)
Pt 0.000 0.000 0.000 (multiplicity 4)
Rh 0.000 0.000 0.500 (multiplicity 4)



13.
Calculated powder diffraction line list of Sc2RuPt for Cu Kα, 1.54184 Å, from a crystal structure in the Materials Project, relaxed with GGA-PBE.

The 10 most intense peaks (2θ = 10–90°), low angle first:
d/Å  I/Imax
3.751  12
3.249  36
2.297  100
1.959  7
1.876  11
1.624  17
1.491  3
1.453  15
1.326  33
1.149  11

Cell and atoms:
Cell lengths 6.497, 6.497, 6.497 Å; angles 90.00, 90.00, 90.00 degrees
Space group Fm-3m (No. 225)
Inequivalent atoms, fractional coordinates:
Sc 0.250 0.250 0.250 (multiplicity 8)
Ru 0.000 0.000 0.000 (multiplicity 4)
Pt 0.000 0.000 0.500 (multiplicity 4)



14.
Calculated powder diffraction line list of Y2RuPt for Cu Kα, 1.54184 Å, from a crystal structure in the Materials Project, relaxed with GGA-PBE.

The 10 most intense peaks (2θ = 10–90°), low angle first:
d/Å  I/Imax
3.993  8
3.458  7
2.445  100
2.086  4
1.997  2
1.729  17
1.547  3
1.412  35
1.223  11
1.094  16

Cell and atoms:
Cell lengths 6.917, 6.917, 6.917 Å; angles 90.00, 90.00, 90.00 degrees
Space group Fm-3m (No. 225)
Inequivalent atoms, fractional coordinates:
Y 0.250 0.250 0.250 (multiplicity 8)
Ru 0.000 0.000 0.000 (multiplicity 4)
Pt 0.000 0.000 0.500 (multiplicity 4)